Record 1
Structure and computed powder diffraction line list of Ac2NiPb3 (a crystal structure in Alexandria, relaxed with GGA-PBE; Cu Ka).

Atomic structure:
a b c (Å): 12.0944 4.9473 8.0258
angles (deg): 90.00 131.22 90.00
Space group Cm (No. 8)
Symmetry-distinct sites (fractional):
Ac  0.0000  0.0000  0.0000
Ac  0.1222  0.0000  0.5888
Ni  0.3634  0.0000  0.5375
Pb  0.1549  0.5000  0.9073
Pb  0.2521  0.5000  0.4174
Pb  0.3806  0.0000  0.2035

Principal peaks in the range 2θ from 15° to 90°, in order of rising 2θ:
28.9 deg, d = 3.086 Å, rel. 75
30.3 deg, d = 2.951 Å, rel. 100
31.5 deg, d = 2.843 Å, rel. 24
34.7 deg, d = 2.585 Å, rel. 31
35.0 deg, d = 2.562 Å, rel. 26
36.3 deg, d = 2.474 Å, rel. 37

Record 2
Structure and computed powder diffraction line list of Ac6NiPd4 (a crystal structure in Alexandria, relaxed with GGA-PBE; Cu Ka).

Atomic structure:
a b c (Å): 8.3486 8.3486 9.2893
angles (deg): 90.00 90.00 90.00
Space group P4/mnc (No. 128)
Symmetry-distinct sites (fractional):
Ac  0.0000  0.0000  0.2101
Ac  0.1472  0.3186  0.5000
Ni  0.0000  0.0000  0.5000
Pd  0.1250  0.6250  0.2500

Principal peaks in the range 2θ from 15° to 90°, in order of rising 2θ:
28.8 deg, d = 3.105 Å, rel. 31
30.7 deg, d = 2.909 Å, rel. 100
34.0 deg, d = 2.640 Å, rel. 50
38.8 deg, d = 2.322 Å, rel. 17
49.1 deg, d = 1.855 Å, rel. 16
52.5 deg, d = 1.744 Å, rel. 20

Record 3
Structure and computed powder diffraction line list of Ac8Ni3Pd2 (a crystal structure in Alexandria, relaxed with GGA-PBE; Cu Ka).

Atomic structure:
a b c (Å): 15.6740 8.3813 7.2710
angles (deg): 90.00 107.73 90.00
Space group C2/m (No. 12)
Symmetry-distinct sites (fractional):
Ac  0.1100  0.0000  0.4078
Ac  0.1119  0.5000  0.4131
Ac  0.1170  0.2564  0.9082
Ni  0.0000  0.2467  0.5000
Ni  0.0000  0.5000  0.0000
Pd  0.2460  0.0000  0.1694

Principal peaks in the range 2θ from 15° to 90°, in order of rising 2θ:
24.8 deg, d = 3.585 Å, rel. 98
25.8 deg, d = 3.455 Å, rel. 45
29.3 deg, d = 3.047 Å, rel. 54
31.6 deg, d = 2.830 Å, rel. 52
31.8 deg, d = 2.817 Å, rel. 100
43.1 deg, d = 2.097 Å, rel. 80

Record 4
Structure and computed powder diffraction line list of Ac2Ni3Pd (a crystal structure in Alexandria, relaxed with GGA-PBE; Cu Ka).

Atomic structure:
a b c (Å): 4.1503 4.2529 7.4251
angles (deg): 90.00 90.00 90.00
Space group Pmm2 (No. 25)
Symmetry-distinct sites (fractional):
Ac  0.0000  0.0000  0.0000
Ac  0.0000  0.5000  0.4916
Ni  0.5000  0.0000  0.3239
Ni  0.5000  0.0000  0.6405
Ni  0.5000  0.5000  0.1787
Pd  0.5000  0.5000  0.8306

Principal peaks in the range 2θ from 15° to 90°, in order of rising 2θ:
24.1 deg, d = 3.690 Å, rel. 24
32.4 deg, d = 2.767 Å, rel. 50
32.5 deg, d = 2.758 Å, rel. 100
42.2 deg, d = 2.139 Å, rel. 37
54.4 deg, d = 1.686 Å, rel. 23
62.3 deg, d = 1.489 Å, rel. 23

Record 5
Structure and computed powder diffraction line list of Ac3Ni2Pd4 (a crystal structure in Alexandria, relaxed with GGA-PBE; Cu Ka).

Atomic structure:
a b c (Å): 4.4799 4.4799 24.4393
angles (deg): 90.00 90.00 120.00
Space group P-6m2 (No. 187)
Symmetry-distinct sites (fractional):
Ac  0.0000  0.0000  0.0791
Ac  0.0000  0.0000  0.2498
Ac  0.0000  0.0000  0.4148
Ni  0.3333  0.6667  0.0000
Ni  0.6667  0.3333  0.0000
Ni  0.6667  0.3333  0.3328
Pd  0.3333  0.6667  0.1643
Pd  0.3333  0.6667  0.3326
Pd  0.3333  0.6667  0.5000
Pd  0.6667  0.3333  0.1656
Pd  0.6667  0.3333  0.5000

Principal peaks in the range 2θ from 15° to 90°, in order of rising 2θ:
22.9 deg, d = 3.880 Å, rel. 18
31.9 deg, d = 2.809 Å, rel. 100
40.3 deg, d = 2.240 Å, rel. 45
52.2 deg, d = 1.751 Å, rel. 25
61.5 deg, d = 1.507 Å, rel. 25
67.9 deg, d = 1.380 Å, rel. 23

Record 6
Structure and computed powder diffraction line list of Ac5Ni2Pd (a crystal structure in Alexandria, relaxed with GGA-PBE; Cu Ka).

Atomic structure:
a b c (Å): 8.0897 8.0911 9.3361
angles (deg): 115.60 115.43 90.00
Space group P-1 (No. 2)
Symmetry-distinct sites (fractional):
Ac  0.0000  0.0000  0.0000
Ac  0.0272  0.1976  0.7233
Ac  0.1972  0.6966  0.7230
Ac  0.3025  0.4731  0.2769
Ac  0.4730  0.9739  0.2766
Ac  0.5000  0.5000  0.0000
Ni  0.1276  0.6279  0.9998
Ni  0.3721  0.1280  0.9997
Pd  0.2499  0.2505  0.5000

Principal peaks in the range 2θ from 15° to 90°, in order of rising 2θ:
25.3 deg, d = 3.515 Å, rel. 64
30.6 deg, d = 2.921 Å, rel. 100
30.7 deg, d = 2.912 Å, rel. 60
32.7 deg, d = 2.735 Å, rel. 40
32.8 deg, d = 2.727 Å, rel. 39
35.1 deg, d = 2.558 Å, rel. 90

Record 7
Structure and computed powder diffraction line list of Ac8Ni5Pd (a crystal structure in Alexandria, relaxed with GGA-PBE; Cu Ka).

Atomic structure:
a b c (Å): 9.3699 9.3699 9.2175
angles (deg): 90.00 90.00 90.00
Space group I-4 (No. 82)
Symmetry-distinct sites (fractional):
Ac  0.0526  0.3012  0.0724
Ac  0.0551  0.1903  0.6760
Ni  0.0000  0.0000  0.0000
Ni  0.1332  0.2499  0.3755
Pd  0.0000  0.5000  0.7500

Principal peaks in the range 2θ from 15° to 90°, in order of rising 2θ:
27.1 deg, d = 3.285 Å, rel. 54
30.2 deg, d = 2.960 Å, rel. 100
30.6 deg, d = 2.920 Å, rel. 49
35.9 deg, d = 2.501 Å, rel. 26
36.0 deg, d = 2.492 Å, rel. 27
49.6 deg, d = 1.837 Å, rel. 31

Number 6 is which compound?
Ac5Ni2Pd

What did the third record say?
Structure and computed powder diffraction line list of Ac8Ni3Pd2 (a crystal structure in Alexandria, relaxed with GGA-PBE; Cu Ka).

Atomic structure:
a b c (Å): 15.6740 8.3813 7.2710
angles (deg): 90.00 107.73 90.00
Space group C2/m (No. 12)
Symmetry-distinct sites (fractional):
Ac  0.1100  0.0000  0.4078
Ac  0.1119  0.5000  0.4131
Ac  0.1170  0.2564  0.9082
Ni  0.0000  0.2467  0.5000
Ni  0.0000  0.5000  0.0000
Pd  0.2460  0.0000  0.1694

Principal peaks in the range 2θ from 15° to 90°, in order of rising 2θ:
24.8 deg, d = 3.585 Å, rel. 98
25.8 deg, d = 3.455 Å, rel. 45
29.3 deg, d = 3.047 Å, rel. 54
31.6 deg, d = 2.830 Å, rel. 52
31.8 deg, d = 2.817 Å, rel. 100
43.1 deg, d = 2.097 Å, rel. 80